Theoretical PXRD pattern
Compound: K2GaHgI6
Radiation: copper Kα
Structure: a cell relaxed with GGA-PBE
No peak broadening, texture or thermal motion is included.

Top 6 peaks for 5° ≤ 2θ ≤ 70°, low angle first:
two_theta  d_spacing  Rel. int.  hkl
14.91  5.940  84  2 0 0
25.98  3.429  51  2 2 2
30.09  2.970  100  4 0 0
33.74  2.656  47  4 2 0
43.07  2.100  73  4 4 0
53.44  1.715  25  4 4 4

```
data_K2GaHgI6
_chemical_formula_sum 'K8 Ga4 Hg4 I24'
_space_group_name_H-M_alt 'F m -3 m'
_space_group_IT_number 225
_space_group_name_Hall '-F 4 2 3'
_cell_length_a 11.879
_cell_length_b 11.879
_cell_length_c 11.879
_cell_angle_alpha 90.00
_cell_angle_beta 90.00
_cell_angle_gamma 90.00
loop_
_atom_site_label
_atom_site_type_symbol
_atom_site_fract_x
_atom_site_fract_y
_atom_site_fract_z
K1 K 0.250 0.250 0.250
Ga1 Ga 0.000 0.000 0.000
Hg1 Hg 0.000 0.000 0.500
I1 I 0.000 0.000 0.242
```